1.
This entry pairs a crystal structure of PmTlAgPb with its calculated X-ray powder pattern. Radiation: Cu Kα, 1.54184 Å. Structure: a DFT-relaxed cell (GGA-PBE, Alexandria).

```
data_PmTlAgPb
_chemical_formula_sum 'Pm1 Tl1 Ag1 Pb1'
_cell_length_a 4.585
_cell_length_b 4.655
_cell_length_c 4.882
_cell_angle_alpha 90.00
_cell_angle_beta 90.00
_cell_angle_gamma 90.00
_space_group_name_H-M_alt 'P m m m'
_space_group_IT_number 47
_space_group_name_Hall '-P 2 2'
loop_
_atom_site_label
_atom_site_fract_x
_atom_site_fract_y
_atom_site_fract_z
Pm1 0.000 0.000 0.000
Tl1 0.500 0.000 0.500
Ag1 0.000 0.500 0.500
Pb1 0.500 0.500 0.000
```

Main lines, low angle first (10° ≤ 2θ ≤ 80°):
- 2θ = 32.99°, intensity 100, (1 1 1)
- 2θ = 36.82°, intensity 19, (0 0 2)
- 2θ = 38.68°, intensity 16, (0 2 0)
- 2θ = 39.30°, intensity 16, (2 0 0)
- 2θ = 54.47°, intensity 12, (0 2 2)
- 2θ = 54.95°, intensity 12, (2 0 2)
- 2θ = 63.91°, intensity 15, (1 1 3)
- 2θ = 66.42°, intensity 13, (1 3 1)
- 2θ = 67.27°, intensity 13, (3 1 1)
- 2θ = 69.21°, intensity 12, (2 2 2)

=====

2.
This entry pairs a crystal structure of Pr8Ag2Pb with its calculated X-ray powder pattern. Radiation: Cu Kα, 1.54184 Å. Structure: a DFT-relaxed cell (GGA-PBE, Alexandria).

```
data_Pr8Ag2Pb
_chemical_formula_sum 'Pr16 Ag4 Pb2'
_cell_length_a 17.869
_cell_length_b 5.187
_cell_length_c 8.314
_cell_angle_alpha 90.00
_cell_angle_beta 115.09
_cell_angle_gamma 90.00
_space_group_name_H-M_alt 'C 1 2/m 1'
_space_group_IT_number 12
_space_group_name_Hall '-C 2y'
loop_
_atom_site_label
_atom_site_fract_x
_atom_site_fract_y
_atom_site_fract_z
Pr1 0.044 0.000 0.257
Pr2 0.093 0.500 0.962
Pr3 0.175 0.000 0.764
Pr4 0.181 0.500 0.464
Ag1 0.195 0.000 0.153
Pb1 0.000 0.500 0.500
```

Main lines, low angle first (10° ≤ 2θ ≤ 80°):
- 2θ = 27.87°, intensity 26, (1 1 -2)
- 2θ = 30.37°, intensity 100, (5 1 -1)
- 2θ = 31.69°, intensity 81, (1 1 2)
- 2θ = 32.73°, intensity 14, (5 1 -2)
- 2θ = 33.07°, intensity 32, (4 0 -3)
- 2θ = 34.58°, intensity 48, (0 2 0)
- 2θ = 40.01°, intensity 15, (6 0 1)
- 2θ = 48.60°, intensity 22, (4 2 -3)
- 2θ = 53.91°, intensity 16, (6 2 1)
- 2θ = 59.38°, intensity 15, (5 3 -1)

=====

3.
This entry pairs a crystal structure of Pr2Ag3Pb with its calculated X-ray powder pattern. Radiation: Cu Kα, 1.54184 Å. Structure: a DFT-relaxed cell (GGA-PBE, Alexandria).

```
data_Pr2Ag3Pb
_chemical_formula_sum 'Pr16 Ag24 Pb8'
_cell_length_a 7.324
_cell_length_b 9.846
_cell_length_c 17.119
_cell_angle_alpha 90.00
_cell_angle_beta 90.00
_cell_angle_gamma 90.00
_space_group_name_H-M_alt 'F m m m'
_space_group_IT_number 69
_space_group_name_Hall '-F 2 2'
loop_
_atom_site_label
_atom_site_fract_x
_atom_site_fract_y
_atom_site_fract_z
Pr1 0.237 0.000 0.000
Pr2 0.250 0.250 0.250
Ag1 0.000 0.000 0.165
Ag2 0.000 0.245 0.082
Pb1 0.000 0.000 0.336
```

Main lines, low angle first (10° ≤ 2θ ≤ 80°):
- 2θ = 32.20°, intensity 100, (2 0 4)
- 2θ = 36.40°, intensity 53, (0 2 6)
- 2θ = 36.50°, intensity 26, (0 4 0)
- 2θ = 49.32°, intensity 9, (2 0 8)
- 2θ = 49.44°, intensity 20, (2 4 4)
- 2θ = 49.80°, intensity 11, (4 0 0)
- 2θ = 62.82°, intensity 10, (2 2 10)
- 2θ = 63.02°, intensity 9, (2 6 2)
- 2θ = 63.26°, intensity 31, (4 4 0)
- 2θ = 65.63°, intensity 9, (0 6 6)

=====

4.
This entry pairs a crystal structure of Pr6Ag5Pb with its calculated X-ray powder pattern. Radiation: Cu Kα, 1.54184 Å. Structure: a DFT-relaxed cell (GGA-PBE, Alexandria).

```
data_Pr6Ag5Pb
_chemical_formula_sum 'Pr6 Ag5 Pb1'
_cell_length_a 5.361
_cell_length_b 7.715
_cell_length_c 8.496
_cell_angle_alpha 90.00
_cell_angle_beta 108.40
_cell_angle_gamma 90.00
_space_group_name_H-M_alt 'P 1 2/m 1'
_space_group_IT_number 10
_space_group_name_Hall '-P 2y'
loop_
_atom_site_label
_atom_site_fract_x
_atom_site_fract_y
_atom_site_fract_z
Pr1 0.000 0.242 0.000
Pr2 0.332 0.247 0.660
Ag1 0.162 0.500 0.330
Ag2 0.163 0.000 0.332
Ag3 0.500 0.000 0.000
Pb1 0.500 0.500 0.000
```

Main lines, low angle first (10° ≤ 2θ ≤ 80°):
- 2θ = 33.11°, intensity 100, (1 2 1)
- 2θ = 33.38°, intensity 49, (2 0 -1)
- 2θ = 47.12°, intensity 9, (0 4 0)
- 2θ = 47.93°, intensity 17, (2 0 2)
- 2θ = 58.97°, intensity 18, (2 4 -1)
- 2θ = 59.44°, intensity 18, (1 2 4)
- 2θ = 59.55°, intensity 18, (3 2 0)
- 2θ = 69.48°, intensity 11, (2 4 2)
- 2θ = 78.55°, intensity 8, (1 6 1)
- 2θ = 79.80°, intensity 11, (3 2 3)

=====

5.
This entry pairs a crystal structure of PrScAgPb with its calculated X-ray powder pattern. Radiation: Cu Kα, 1.54184 Å. Structure: a DFT-relaxed cell (GGA-PBE, Alexandria).

```
data_PrScAgPb
_chemical_formula_sum 'Pr4 Sc4 Ag4 Pb4'
_cell_length_a 7.452
_cell_length_b 7.452
_cell_length_c 7.452
_cell_angle_alpha 90.00
_cell_angle_beta 90.00
_cell_angle_gamma 90.00
_space_group_name_H-M_alt 'F -4 3 m'
_space_group_IT_number 216
_space_group_name_Hall 'F -4 2 3'
loop_
_atom_site_label
_atom_site_fract_x
_atom_site_fract_y
_atom_site_fract_z
Pr1 0.000 0.000 0.000
Sc1 0.000 0.000 0.500
Ag1 0.250 0.250 0.250
Pb1 0.250 0.250 0.750
```

Main lines, low angle first (10° ≤ 2θ ≤ 80°):
- 2θ = 20.64°, intensity 15, (1 1 1)
- 2θ = 23.88°, intensity 8, (2 0 0)
- 2θ = 34.03°, intensity 100, (2 2 0)
- 2θ = 40.13°, intensity 9, (3 1 1)
- 2θ = 48.89°, intensity 18, (4 0 0)
- 2θ = 53.61°, intensity 4, (3 3 1)
- 2θ = 55.11°, intensity 4, (4 2 0)
- 2θ = 60.90°, intensity 37, (4 2 2)
- 2θ = 71.63°, intensity 11, (4 4 0)
- 2θ = 75.47°, intensity 3, (5 3 1)

=====

6.
This entry pairs a crystal structure of AgPtPb4 with its calculated X-ray powder pattern. Radiation: Cu Kα, 1.54184 Å. Structure: a DFT-relaxed cell (GGA-PBE, Alexandria).

```
data_AgPtPb4
_chemical_formula_sum 'Ag4 Pt4 Pb16'
_cell_length_a 6.982
_cell_length_b 6.982
_cell_length_c 12.710
_cell_angle_alpha 90.00
_cell_angle_beta 90.00
_cell_angle_gamma 90.00
_space_group_name_H-M_alt 'I 4/m c m'
_space_group_IT_number 140
_space_group_name_Hall '-I 4 2c'
loop_
_atom_site_label
_atom_site_fract_x
_atom_site_fract_y
_atom_site_fract_z
Ag1 0.000 0.000 0.250
Pt1 0.000 0.000 0.000
Pb1 0.166 0.334 0.125
```

Main lines, low angle first (10° ≤ 2θ ≤ 80°):
- 2θ = 28.08°, intensity 19, (0 0 4)
- 2θ = 29.46°, intensity 100, (2 1 1)
- 2θ = 33.54°, intensity 50, (1 1 4)
- 2θ = 35.72°, intensity 61, (2 1 3)
- 2θ = 38.30°, intensity 66, (2 0 4)
- 2θ = 40.87°, intensity 57, (3 1 0)
- 2θ = 46.04°, intensity 30, (2 1 5)
- 2θ = 60.52°, intensity 19, (4 0 4)
- 2θ = 63.68°, intensity 38, (3 3 4)
- 2θ = 73.42°, intensity 29, (3 1 8)

=====

7.
This entry pairs a crystal structure of Rb3Ag2Pb4 with its calculated X-ray powder pattern. Radiation: Cu Kα, 1.54184 Å. Structure: a DFT-relaxed cell (GGA-PBE, Alexandria).

```
data_Rb3Ag2Pb4
_chemical_formula_sum 'Rb3 Ag2 Pb4'
_cell_length_a 4.880
_cell_length_b 7.502
_cell_length_c 10.531
_cell_angle_alpha 105.84
_cell_angle_beta 90.04
_cell_angle_gamma 108.92
_space_group_name_H-M_alt 'P -1'
_space_group_IT_number 2
_space_group_name_Hall '-P 1'
loop_
_atom_site_label
_atom_site_fract_x
_atom_site_fract_y
_atom_site_fract_z
Rb1 0.000 0.000 0.000
Rb2 0.369 0.739 0.613
Ag1 0.338 0.677 0.212
Pb1 0.085 0.168 0.648
Pb2 0.284 0.565 0.914
```

Main lines, low angle first (10° ≤ 2θ ≤ 80°):
- 2θ = 13.45°, intensity 100, (0 1 -1)
- 2θ = 20.45°, intensity 29, (1 0 -1)
- 2θ = 25.96°, intensity 25, (0 1 -3)
- 2θ = 26.86°, intensity 45, (1 1 0)
- 2θ = 28.90°, intensity 55, (1 -2 2)
- 2θ = 30.08°, intensity 39, (0 2 1)
- 2θ = 34.58°, intensity 68, (-1 1 3)
- 2θ = 35.38°, intensity 29, (-1 2 2)
- 2θ = 36.84°, intensity 36, (2 -1 0)
- 2θ = 48.85°, intensity 27, (1 3 -1)

=====

8.
This entry pairs a crystal structure of Rb3AgPb4 with its calculated X-ray powder pattern. Radiation: Cu Kα, 1.54184 Å. Structure: a DFT-relaxed cell (GGA-PBE, Alexandria).

```
data_Rb3AgPb4
_chemical_formula_sum 'Rb6 Ag2 Pb8'
_cell_length_a 7.120
_cell_length_b 13.592
_cell_length_c 7.027
_cell_angle_alpha 90.00
_cell_angle_beta 90.00
_cell_angle_gamma 90.00
_space_group_name_H-M_alt 'P m m n'
_space_group_IT_number 59
loop_
_space_group_symop_operation_xyz
'x,y,z'
'-x,-y,-z'
'-x+1/2,-y+1/2,z'
'x+1/2,y+1/2,-z'
'x+1/2,-y,-z'
'-x+1/2,y,z'
'-x,y+1/2,-z'
'x,-y+1/2,z'
loop_
_atom_site_label
_atom_site_fract_x
_atom_site_fract_y
_atom_site_fract_z
Rb1 0.250 0.000 0.177
Rb2 0.250 0.250 0.546
Ag1 0.250 0.750 0.317
Pb1 0.014 0.750 0.964
Pb2 0.250 0.630 0.672
```

Main lines, low angle first (10° ≤ 2θ ≤ 80°):
- 2θ = 13.03°, intensity 96, (0 2 0)
- 2θ = 14.04°, intensity 100, (1 1 0)
- 2θ = 14.19°, intensity 37, (0 1 1)
- 2θ = 28.10°, intensity 64, (2 0 1)
- 2θ = 28.31°, intensity 47, (1 0 2)
- 2θ = 29.19°, intensity 41, (0 4 1)
- 2θ = 31.08°, intensity 91, (2 2 1)
- 2θ = 31.84°, intensity 79, (1 4 1)
- 2θ = 34.49°, intensity 38, (2 3 1)
- 2θ = 35.91°, intensity 41, (2 0 2)

=====

9.
This entry pairs a crystal structure of Rb3AgPb with its calculated X-ray powder pattern. Radiation: Cu Kα, 1.54184 Å. Structure: a DFT-relaxed cell (GGA-PBE, Alexandria).

```
data_Rb3AgPb
_chemical_formula_sum 'Rb12 Ag4 Pb4'
_cell_length_a 13.255
_cell_length_b 11.148
_cell_length_c 8.881
_cell_angle_alpha 90.00
_cell_angle_beta 129.70
_cell_angle_gamma 90.00
_space_group_name_H-M_alt 'C 1 2/m 1'
_space_group_IT_number 12
_space_group_name_Hall '-C 2y'
loop_
_atom_site_label
_atom_site_fract_x
_atom_site_fract_y
_atom_site_fract_z
Rb1 0.057 0.000 0.330
Rb2 0.212 0.303 0.743
Ag1 0.210 0.500 0.098
Pb1 0.063 0.500 0.243
```

Main lines, low angle first (10° ≤ 2θ ≤ 80°):
- 2θ = 11.76°, intensity 69, (1 1 0)
- 2θ = 12.75°, intensity 47, (1 1 -1)
- 2θ = 15.90°, intensity 60, (0 2 0)
- 2θ = 23.64°, intensity 38, (2 2 0)
- 2θ = 25.66°, intensity 58, (2 2 -2)
- 2θ = 26.03°, intensity 100, (0 0 2)
- 2θ = 28.49°, intensity 36, (4 0 -1)
- 2θ = 31.29°, intensity 39, (3 1 -3)
- 2θ = 32.11°, intensity 84, (0 4 0)
- 2θ = 49.00°, intensity 42, (0 6 0)

=====

10.
This entry pairs a crystal structure of ReAgPb with its calculated X-ray powder pattern. Radiation: Cu Kα, 1.54184 Å. Structure: a DFT-relaxed cell (GGA-PBE, Alexandria).

```
data_ReAgPb
_chemical_formula_sum 'Re1 Ag1 Pb1'
_cell_length_a 3.0299
_cell_length_b 3.0299
_cell_length_c 7.4940
_cell_angle_alpha 90.00
_cell_angle_beta 90.00
_cell_angle_gamma 120.00
_space_group_name_H-M_alt 'P 3 m 1'
_space_group_IT_number 156
_space_group_name_Hall 'P 3 -2"'
loop_
_atom_site_label
_atom_site_fract_x
_atom_site_fract_y
_atom_site_fract_z
Re1 0.0000 0.0000 0.0000
Ag1 0.6667 0.3333 0.3008
Pb1 0.3333 0.6667 0.6737
```

Main lines, low angle first (10° ≤ 2θ ≤ 80°):
- 2θ = 11.81°, intensity 15, (0 0 1)
- 2θ = 35.95°, intensity 31, (0 0 3)
- 2θ = 36.27°, intensity 100, (1 0 1)
- 2θ = 42.04°, intensity 66, (0 1 2)
- 2θ = 60.74°, intensity 21, (1 0 4)
- 2θ = 61.18°, intensity 21, (1 1 0)
- 2θ = 72.65°, intensity 13, (0 1 5)
- 2θ = 73.04°, intensity 24, (1 1 3)
- 2θ = 73.24°, intensity 13, (0 2 1)
- 2θ = 77.01°, intensity 11, (2 0 2)

=====

11.
This entry pairs a crystal structure of AgRhPb4 with its calculated X-ray powder pattern. Radiation: Cu Kα, 1.54184 Å. Structure: a DFT-relaxed cell (GGA-PBE, Alexandria).

```
data_AgRhPb4
_chemical_formula_sum 'Ag4 Rh4 Pb16'
_cell_length_a 8.901
_cell_length_b 13.100
_cell_length_c 5.975
_cell_angle_alpha 90.00
_cell_angle_beta 115.46
_cell_angle_gamma 90.00
_space_group_name_H-M_alt 'C 1 2/c 1'
_space_group_IT_number 15
_space_group_name_Hall '-C 2yc'
loop_
_atom_site_label
_atom_site_fract_x
_atom_site_fract_y
_atom_site_fract_z
Ag1 0.000 0.132 0.250
Rh1 0.000 0.498 0.250
Pb1 0.119 0.327 0.581
Pb2 0.208 0.071 0.820
```

Main lines, low angle first (10° ≤ 2θ ≤ 80°):
- 2θ = 30.86°, intensity 61, (1 1 -2)
- 2θ = 30.98°, intensity 100, (3 1 -1)
- 2θ = 31.97°, intensity 77, (0 4 1)
- 2θ = 34.73°, intensity 52, (2 4 -1)
- 2θ = 35.84°, intensity 94, (2 2 1)
- 2θ = 36.04°, intensity 57, (1 5 0)
- 2θ = 36.58°, intensity 42, (1 3 -2)
- 2θ = 39.46°, intensity 35, (3 3 0)
- 2θ = 47.36°, intensity 37, (2 6 0)
- 2θ = 62.82°, intensity 28, (6 0 -2)

=====

12.
This entry pairs a crystal structure of Ag4Pb2S5 with its calculated X-ray powder pattern. Radiation: Cu Kα, 1.54184 Å. Structure: a DFT-relaxed cell (GGA-PBE, Alexandria).

```
data_Ag4Pb2S5
_chemical_formula_sum 'Ag12 Pb6 S15'
_cell_length_a 4.1506
_cell_length_b 4.1506
_cell_length_c 52.8395
_cell_angle_alpha 90.00
_cell_angle_beta 90.00
_cell_angle_gamma 120.00
_space_group_name_H-M_alt 'R -3 m'
_space_group_IT_number 166
_space_group_name_Hall '-R 3 2"'
loop_
_atom_site_label
_atom_site_fract_x
_atom_site_fract_y
_atom_site_fract_z
Ag1 0.0000 0.0000 0.0870
Ag2 0.0000 0.0000 0.1884
Pb1 0.0000 0.0000 0.3671
S1 0.0000 0.0000 0.0000
S2 0.0000 0.0000 0.1340
S3 0.0000 0.0000 0.2668
```

Main lines, low angle first (10° ≤ 2θ ≤ 80°):
- 2θ = 25.68°, intensity 55, (1 0 4)
- 2θ = 27.48°, intensity 47, (1 0 7)
- 2θ = 30.45°, intensity 24, (0 0 18)
- 2θ = 31.08°, intensity 100, (0 1 11)
- 2θ = 36.96°, intensity 14, (1 0 16)
- 2θ = 43.61°, intensity 57, (1 1 0)
- 2θ = 45.42°, intensity 33, (1 0 22)
- 2θ = 54.12°, intensity 28, (1 1 18)
- 2θ = 54.51°, intensity 20, (2 0 11)
- 2θ = 72.27°, intensity 17, (1 2 11)

=====

13.
This entry pairs a crystal structure of Ag3PbS3 with its calculated X-ray powder pattern. Radiation: Cu Kα, 1.54184 Å. Structure: a DFT-relaxed cell (GGA-PBE, Alexandria).

```
data_Ag3PbS3
_chemical_formula_sum 'Ag18 Pb6 S18'
_cell_length_a 7.2989
_cell_length_b 7.2989
_cell_length_c 21.2943
_cell_angle_alpha 90.00
_cell_angle_beta 90.00
_cell_angle_gamma 120.00
_space_group_name_H-M_alt 'R -3'
_space_group_IT_number 148
_space_group_name_Hall '-R 3'
loop_
_atom_site_label
_atom_site_fract_x
_atom_site_fract_y
_atom_site_fract_z
Ag1 0.0069 0.6923 0.1243
Pb1 0.0000 0.0000 0.3333
S1 0.0059 0.6512 0.9171
```

Main lines, low angle first (10° ≤ 2θ ≤ 80°):
- 2θ = 14.62°, intensity 15, (1 0 1)
- 2θ = 16.31°, intensity 15, (0 1 2)
- 2θ = 27.48°, intensity 100, (1 1 3)
- 2θ = 35.28°, intensity 68, (2 -1 6)
- 2θ = 42.92°, intensity 49, (3 0 0)
- 2θ = 45.70°, intensity 18, (1 1 9)
- 2θ = 51.73°, intensity 17, (4 -2 3)
- 2θ = 56.73°, intensity 18, (2 2 6)
- 2θ = 58.67°, intensity 19, (0 3 9)
- 2θ = 69.41°, intensity 14, (1 4 3)

=====

14.
This entry pairs a crystal structure of Ag2PbS with its calculated X-ray powder pattern. Radiation: Cu Kα, 1.54184 Å. Structure: a DFT-relaxed cell (GGA-PBE, Alexandria).

```
data_Ag2PbS
_chemical_formula_sum 'Ag8 Pb4 S4'
_cell_length_a 7.709
_cell_length_b 7.709
_cell_length_c 5.967
_cell_angle_alpha 90.00
_cell_angle_beta 90.00
_cell_angle_gamma 90.00
_space_group_name_H-M_alt 'I -4 2 d'
_space_group_IT_number 122
_space_group_name_Hall 'I -4 2bw'
loop_
_atom_site_label
_atom_site_fract_x
_atom_site_fract_y
_atom_site_fract_z
Ag1 0.205 0.250 0.125
Pb1 0.000 0.000 0.500
S1 0.000 0.000 0.000
```

Main lines, low angle first (10° ≤ 2θ ≤ 80°):
- 2θ = 18.81°, intensity 31, (1 0 1)
- 2θ = 29.93°, intensity 73, (2 1 1)
- 2θ = 32.86°, intensity 99, (2 2 0)
- 2θ = 34.26°, intensity 100, (1 1 2)
- 2θ = 38.13°, intensity 31, (3 0 1)
- 2θ = 47.16°, intensity 40, (4 0 0)
- 2θ = 48.20°, intensity 66, (3 1 2)
- 2θ = 62.18°, intensity 19, (4 3 1)
- 2θ = 67.28°, intensity 42, (2 0 4)
- 2θ = 69.73°, intensity 18, (5 1 2)